This entry pairs a crystal structure of Ac2Cd16Bi with its theoretical powder X-ray diffraction pattern. Radiation: a wavelength of 1.5418 Å. Structure: the PBE geometry in Alexandria.
Peak positions follow from Bragg's law for the DFT cell and can differ from measured ones.

Largest 8 diffraction maxima, by angle, 5 to 70 degrees two-theta:
| two_theta | d_spacing | Rel. int. |
| --- | --- | --- |
| 29.6 | 3.022 | 49 |
| 31.1 | 2.872 | 26 |
| 34.3 | 2.617 | 65 |
| 34.8 | 2.580 | 100 |
| 36.3 | 2.475 | 30 |
| 38.9 | 2.314 | 42 |
| 61.3 | 1.511 | 27 |
| 64.3 | 1.448 | 26 |

Atomic structure:
Cell lengths 7.8131, 7.8131, 7.8131 Å; angles 84.14, 84.14, 84.14 degrees
Positions (direct):
Ac (0.0000, 0.0000, 0.0000)
Ac (0.3264, 0.3264, 0.3264)
Cd (0.0176, 0.0176, 0.4964)
Cd (0.0176, 0.4964, 0.0176)
Cd (0.1786, 0.6546, 0.6546)
Cd (0.3106, 0.3106, 0.8319)
Cd (0.3106, 0.8319, 0.3106)
Cd (0.3557, 0.6646, 0.9707)
Cd (0.3557, 0.9707, 0.6646)
Cd (0.4964, 0.0176, 0.0176)
Cd (0.5584, 0.5584, 0.5584)
Cd (0.6546, 0.1786, 0.6546)
Cd (0.6546, 0.6546, 0.1786)
Cd (0.6646, 0.3557, 0.9707)
Cd (0.6646, 0.9707, 0.3557)
Cd (0.8319, 0.3106, 0.3106)
Cd (0.9707, 0.3557, 0.6646)
Cd (0.9707, 0.6646, 0.3557)
Bi (0.7665, 0.7665, 0.7665)

***

This entry pairs a crystal structure of AcCdGaBi with its theoretical powder X-ray diffraction pattern. Radiation: a wavelength of 1.5418 Å. Structure: the PBE geometry in Alexandria.
Peak positions follow from Bragg's law for the DFT cell and can differ from measured ones.

Largest 8 diffraction maxima, by angle, 5 to 70 degrees two-theta:
| two_theta | d_spacing | Rel. int. |
| --- | --- | --- |
| 19.8 | 4.480 | 1 |
| 22.9 | 3.880 | 17 |
| 32.6 | 2.744 | 100 |
| 40.3 | 2.240 | 6 |
| 46.8 | 1.940 | 18 |
| 52.8 | 1.735 | 8 |
| 58.2 | 1.584 | 39 |
| 68.4 | 1.372 | 12 |

Atomic structure:
Cell lengths 7.7601, 7.7601, 7.7601 Å; angles 90.00, 90.00, 90.00 degrees
Positions (direct):
Ac (0.0000, 0.0000, 0.0000)
Ac (0.0000, 0.5000, 0.5000)
Ac (0.5000, 0.0000, 0.5000)
Ac (0.5000, 0.5000, 0.0000)
Cd (0.2500, 0.2500, 0.2500)
Cd (0.2500, 0.7500, 0.7500)
Cd (0.7500, 0.2500, 0.7500)
Cd (0.7500, 0.7500, 0.2500)
Ga (0.2500, 0.2500, 0.7500)
Ga (0.2500, 0.7500, 0.2500)
Ga (0.7500, 0.2500, 0.2500)
Ga (0.7500, 0.7500, 0.7500)
Bi (0.0000, 0.0000, 0.5000)
Bi (0.0000, 0.5000, 0.0000)
Bi (0.5000, 0.0000, 0.0000)
Bi (0.5000, 0.5000, 0.5000)

***

This entry pairs a crystal structure of AcCdBiSb with its theoretical powder X-ray diffraction pattern. Radiation: a wavelength of 1.5418 Å. Structure: the PBE geometry in Alexandria.
Peak positions follow from Bragg's law for the DFT cell and can differ from measured ones.

Largest 7 diffraction maxima, by angle, 5 to 70 degrees two-theta:
| two_theta | d_spacing | Rel. int. |
| --- | --- | --- |
| 22.4 | 3.975 | 9 |
| 31.8 | 2.810 | 100 |
| 39.3 | 2.295 | 3 |
| 45.7 | 1.987 | 19 |
| 51.4 | 1.778 | 5 |
| 56.7 | 1.623 | 39 |
| 66.5 | 1.405 | 12 |

Atomic structure:
Cell lengths 7.9493, 7.9493, 7.9493 Å; angles 90.00, 90.00, 90.00 degrees
Positions (direct):
Ac (0.0000, 0.0000, 0.0000)
Ac (0.0000, 0.5000, 0.5000)
Ac (0.5000, 0.0000, 0.5000)
Ac (0.5000, 0.5000, 0.0000)
Cd (0.2500, 0.2500, 0.7500)
Cd (0.2500, 0.7500, 0.2500)
Cd (0.7500, 0.2500, 0.2500)
Cd (0.7500, 0.7500, 0.7500)
Bi (0.0000, 0.0000, 0.5000)
Bi (0.0000, 0.5000, 0.0000)
Bi (0.5000, 0.0000, 0.0000)
Bi (0.5000, 0.5000, 0.5000)
Sb (0.2500, 0.2500, 0.2500)
Sb (0.2500, 0.7500, 0.7500)
Sb (0.7500, 0.2500, 0.7500)
Sb (0.7500, 0.7500, 0.2500)

***

This entry pairs a crystal structure of AcCe5Bi6 with its theoretical powder X-ray diffraction pattern. Radiation: a wavelength of 1.5418 Å. Structure: the PBE geometry in Alexandria.
Peak positions follow from Bragg's law for the DFT cell and can differ from measured ones.

Largest 8 diffraction maxima, by angle, 5 to 70 degrees two-theta:
| two_theta | d_spacing | Rel. int. |
| --- | --- | --- |
| 23.4 | 3.800 | 4 |
| 27.1 | 3.291 | 100 |
| 38.7 | 2.327 | 79 |
| 45.7 | 1.985 | 2 |
| 47.9 | 1.900 | 29 |
| 55.9 | 1.645 | 14 |
| 63.2 | 1.472 | 37 |
| 70.0 | 1.344 | 2 |

Atomic structure:
Cell lengths 8.0594, 8.0594, 8.0646 Å; angles 99.61, 99.61, 120.00 degrees
Positions (direct):
Ac (0.0000, 0.0000, 0.0000)
Ce (0.1633, 0.8367, 0.5000)
Ce (0.3323, 0.6677, 0.0000)
Ce (0.5000, 0.5000, 0.5000)
Ce (0.6677, 0.3323, 0.0000)
Ce (0.8367, 0.1633, 0.5000)
Bi (0.0861, 0.4287, 0.2569)
Bi (0.2588, 0.2588, 0.7464)
Bi (0.4287, 0.0861, 0.2569)
Bi (0.5713, 0.9139, 0.7431)
Bi (0.7412, 0.7412, 0.2536)
Bi (0.9139, 0.5713, 0.7431)